1.
For LiIO3, a crystal structure in the Materials Project, relaxed with PBE gives the calculated powder diffraction line list in this record (Cu Ka).
Intensities are scaled so that the largest is 100.

Crystal structure
```
data_LiIO3
_chemical_formula_sum 'Li8 I8 O24'
_cell_length_a 9.977
_cell_length_b 9.977
_cell_length_c 6.772
_cell_angle_alpha 90.00
_cell_angle_beta 90.00
_cell_angle_gamma 90.00
_space_group_name_H-M_alt 'P 42/n'
_space_group_IT_number 86
loop_
_space_group_symop_operation_xyz
'x,y,z'
'-x,-y,-z'
'-y,x+1/2,z+1/2'
'y,-x+1/2,-z+1/2'
'-x+1/2,-y+1/2,z'
'x+1/2,y+1/2,-z'
'y+1/2,-x,z+1/2'
'-y+1/2,x,-z+1/2'
loop_
_atom_site_label
_atom_site_type_symbol
_atom_site_fract_x
_atom_site_fract_y
_atom_site_fract_z
_atom_site_occupancy
Li1 Li 0.000 0.000 0.000 1
Li2 Li 0.250 0.250 0.250 1
Li3 Li 0.250 0.250 0.750 1
I1 I 0.034 0.739 0.104 1
O1 O 0.058 0.170 0.702 1
O2 O 0.082 0.221 0.094 1
O3 O 0.129 0.654 0.544 1
```

Peak list (10 most intense, 10 to 80 degrees two-theta, by angle)
(1 0 1), 2θ = 15.8°, I = 24; (2 0 1), 2θ = 22.1°, I = 100; (2 1 1), 2θ = 23.9°, I = 35; (2 2 0), 2θ = 25.2°, I = 55; (1 0 2), 2θ = 27.8°, I = 31; (3 0 1), 2θ = 29.9°, I = 13; (4 0 0), 2θ = 36.0°, I = 12; (2 3 2), 2θ = 42.2°, I = 34; (4 2 1), 2θ = 42.7°, I = 22; (2 1 3), 2θ = 45.0°, I = 11

---

2.
For LiIO3, a crystal structure in the Materials Project, relaxed with PBE gives the calculated powder diffraction line list in this record (Cu Ka).
Intensities are scaled so that the largest is 100.

Crystal structure
```
data_LiIO3
_chemical_formula_sum 'Li2 I2 O6'
_cell_length_a 5.6988
_cell_length_b 5.6988
_cell_length_c 3.5432
_cell_angle_alpha 90.00
_cell_angle_beta 90.00
_cell_angle_gamma 120.00
_space_group_name_H-M_alt 'P 63/m m c'
_space_group_IT_number 194
_space_group_name_Hall '-P 6c 2c'
loop_
_atom_site_label
_atom_site_type_symbol
_atom_site_fract_x
_atom_site_fract_y
_atom_site_fract_z
_atom_site_occupancy
Li1 Li 0.0000 0.0000 0.0000 1
I1 I 0.3333 0.6667 0.2500 1
O1 O 0.1875 0.3751 0.7500 1
```

Peak list (10 most intense, 10 to 80 degrees two-theta, by angle)
(1 0 0), 2θ = 18.0°, I = 77; (1 0 1), 2θ = 31.1°, I = 100; (1 1 0), 2θ = 31.4°, I = 83; (2 0 0), 2θ = 36.4°, I = 27; (2 0 1), 2θ = 44.8°, I = 97; (2 1 1), 2θ = 55.7°, I = 51; (3 0 0), 2θ = 55.9°, I = 15; (1 1 2), 2θ = 61.6°, I = 21; (2 2 0), 2θ = 65.5°, I = 19; (3 1 1), 2θ = 74.3°, I = 21

---

3.
For Li2IO6, a crystal structure in the Materials Project, relaxed with PBE gives the calculated powder diffraction line list in this record (Cu Ka).
Intensities are scaled so that the largest is 100.

Crystal structure
```
data_Li2IO6
_chemical_formula_sum 'Li12 I6 O36'
_cell_length_a 5.4926
_cell_length_b 5.4926
_cell_length_c 28.7804
_cell_angle_alpha 90.00
_cell_angle_beta 90.00
_cell_angle_gamma 120.00
_space_group_name_H-M_alt 'P 61'
_space_group_IT_number 169
loop_
_space_group_symop_operation_xyz
'x,y,z'
'x-y,x,z+1/6'
'-y,x-y,z+1/3'
'-x,-y,z+1/2'
'-x+y,-x,z+2/3'
'y,-x+y,z+5/6'
loop_
_atom_site_label
_atom_site_type_symbol
_atom_site_fract_x
_atom_site_fract_y
_atom_site_fract_z
_atom_site_occupancy
Li1 Li 0.2681 0.6150 0.0000 1
Li2 Li 0.2808 0.6806 0.8358 1
I1 I 0.0137 0.0649 0.6658 1
O1 O 0.0055 0.6524 0.2002 1
O2 O 0.0096 0.2387 0.1319 1
O3 O 0.0298 0.6845 0.2981 1
O4 O 0.0326 0.2679 0.3671 1
O5 O 0.0877 0.3544 0.4650 1
O6 O 0.0877 0.7711 0.5335 1
```

Peak list (10 most intense, 10 to 80 degrees two-theta, by angle)
(0 0 6), 2θ = 18.5°, I = 55; (1 0 0), 2θ = 18.7°, I = 100; (1 0 1), 2θ = 18.9°, I = 9; (1 0 6), 2θ = 26.4°, I = 71; (1 1 6), 2θ = 37.8°, I = 28; (1 0 12), 2θ = 42.2°, I = 15; (2 0 6), 2θ = 42.4°, I = 12; (1 1 12), 2θ = 50.5°, I = 18; (1 2 6), 2θ = 54.5°, I = 9; (3 0 0), 2θ = 58.2°, I = 10

---

What did the first record say?
For LiIO3, a crystal structure in the Materials Project, relaxed with PBE gives the calculated powder diffraction line list in this record (Cu Ka).
Intensities are scaled so that the largest is 100.

Crystal structure
```
data_LiIO3
_chemical_formula_sum 'Li8 I8 O24'
_cell_length_a 9.977
_cell_length_b 9.977
_cell_length_c 6.772
_cell_angle_alpha 90.00
_cell_angle_beta 90.00
_cell_angle_gamma 90.00
_space_group_name_H-M_alt 'P 42/n'
_space_group_IT_number 86
loop_
_space_group_symop_operation_xyz
'x,y,z'
'-x,-y,-z'
'-y,x+1/2,z+1/2'
'y,-x+1/2,-z+1/2'
'-x+1/2,-y+1/2,z'
'x+1/2,y+1/2,-z'
'y+1/2,-x,z+1/2'
'-y+1/2,x,-z+1/2'
loop_
_atom_site_label
_atom_site_type_symbol
_atom_site_fract_x
_atom_site_fract_y
_atom_site_fract_z
_atom_site_occupancy
Li1 Li 0.000 0.000 0.000 1
Li2 Li 0.250 0.250 0.250 1
Li3 Li 0.250 0.250 0.750 1
I1 I 0.034 0.739 0.104 1
O1 O 0.058 0.170 0.702 1
O2 O 0.082 0.221 0.094 1
O3 O 0.129 0.654 0.544 1
```

Peak list (10 most intense, 10 to 80 degrees two-theta, by angle)
(1 0 1), 2θ = 15.8°, I = 24; (2 0 1), 2θ = 22.1°, I = 100; (2 1 1), 2θ = 23.9°, I = 35; (2 2 0), 2θ = 25.2°, I = 55; (1 0 2), 2θ = 27.8°, I = 31; (3 0 1), 2θ = 29.9°, I = 13; (4 0 0), 2θ = 36.0°, I = 12; (2 3 2), 2θ = 42.2°, I = 34; (4 2 1), 2θ = 42.7°, I = 22; (2 1 3), 2θ = 45.0°, I = 11